# La2PrHoEr4
Calculated PXRD pattern, CuKα. Input: a structure optimized by DFT (PBE).
No peak broadening, texture or thermal motion is included.

Crystal structure
```
data_La2PrHoEr4
_cell_length_a 12.4501
_cell_length_b 7.2058
_cell_length_c 12.3658
_cell_angle_alpha 90.00
_cell_angle_beta 109.50
_cell_angle_gamma 90.00
_symmetry_space_group_name_H-M 'C 1 2/m 1'
_symmetry_Int_Tables_number 12
loop_
_symmetry_equiv_pos_as_xyz
'x,y,z'
'-x,-y,-z'
'-x,y,-z'
'x,-y,z'
'x+1/2,y+1/2,z'
'-x+1/2,-y+1/2,-z'
'-x+1/2,y+1/2,-z'
'x+1/2,-y+1/2,z'
loop_
_atom_site_label
_atom_site_fract_x
_atom_site_fract_y
_atom_site_fract_z
La1 0.0000 0.0000 0.0000
La2 0.0000 0.0000 0.5000
La3 0.2500 0.2500 0.0000
Pr1 0.0000 0.5000 0.0000
Pr2 0.0000 0.5000 0.5000
Ho1 0.2500 0.2500 0.5000
Er1 0.0010 0.2502 0.2526
Er2 0.2494 0.5000 0.7467
Er3 0.2498 0.0000 0.7472
```

Top 8 peaks for 10 to 90 degrees two-theta, in order of falling intensity:
(4 0 0), 2θ = 30.45°, I = 100; (2 2 2), 2θ = 35.37°, I = 67; (0 0 4), 2θ = 30.68°, I = 33; (6 2 2), 2θ = 60.43°, I = 24; (4 0 4), 2θ = 51.04°, I = 24; (6 2 -2), 2θ = 50.77°, I = 16; (8 0 0), 2θ = 63.37°, I = 12; (4 4 0), 2θ = 60.29°, I = 10